[1]
Computed powder diffractogram of Sm6HgIr for Cu Kα, 1.54184 Å, from a crystal structure in Alexandria, relaxed with PBE.
Peak positions follow from Bragg's law for the DFT cell and can differ from measured ones.

Crystal structure
Lattice parameters (Å, degrees): 6.981 7.009 7.642 90.26 116.79 119.82
Fractional positions:
Sm1 0.033 0.082 0.254
Sm2 0.302 0.720 0.253
Sm3 0.324 0.546 0.747
Sm4 0.676 0.454 0.253
Sm5 0.698 0.280 0.747
Sm6 0.967 0.918 0.746
Hg1 0.500 0.000 0.000
Ir1 0.500 0.500 0.500

Main lines, by angle (15° ≤ 2θ ≤ 90°):
2θ (°), d [Å], intensity
17.2, 5.162, 44
23.3, 3.813, 42
28.9, 3.090, 100
29.0, 3.083, 71
29.1, 3.068, 32
30.9, 2.891, 27
37.6, 2.391, 63
37.8, 2.383, 39
44.7, 2.027, 26
44.9, 2.018, 52

[2]
Computed powder diffractogram of Ho5SbTe5 for Cu Kα, 1.54184 Å, from a crystal structure in Alexandria, relaxed with PBE.
Peak positions follow from Bragg's law for the DFT cell and can differ from measured ones.

Crystal structure
Lattice parameters (Å, degrees): 7.486 7.486 8.637 106.76 106.76 48.51
Fractional positions:
Ho1 0.000 0.000 0.000
Ho2 0.336 0.336 0.168
Ho3 0.337 0.337 0.668
Ho4 0.663 0.663 0.332
Ho5 0.664 0.664 0.832
Sb1 0.500 0.500 0.000
Te1 0.164 0.164 0.337
Te2 0.165 0.165 0.828
Te3 0.500 0.500 0.500
Te4 0.835 0.835 0.172
Te5 0.836 0.836 0.663

Main lines, by angle (15° ≤ 2θ ≤ 90°):
2θ (°), d [Å], intensity
29.0, 3.075, 51
29.3, 3.053, 100
41.7, 2.167, 77
41.8, 2.159, 38
51.7, 1.767, 41
60.7, 1.526, 12
68.3, 1.373, 18
68.7, 1.367, 26
76.0, 1.252, 13
76.3, 1.248, 25

[3]
Computed powder diffractogram of Ag4TeO5 for Cu Kα, 1.54184 Å, from a crystal structure in Alexandria, relaxed with PBE.
Peak positions follow from Bragg's law for the DFT cell and can differ from measured ones.

Crystal structure
Lattice parameters (Å, degrees): 6.361 6.361 6.361 95.54 95.54 143.81
Fractional positions:
Ag1 0.118 0.357 0.476
Ag2 0.357 0.882 0.239
Ag3 0.643 0.118 0.761
Ag4 0.882 0.643 0.524
Te1 0.500 0.500 0.000
O1 0.000 0.000 0.000
O2 0.285 0.581 0.866
O3 0.419 0.285 0.704
O4 0.581 0.715 0.296
O5 0.715 0.419 0.134

Main lines, by angle (15° ≤ 2θ ≤ 90°):
2θ (°), d [Å], intensity
24.8, 3.587, 13
32.6, 2.748, 100
33.1, 2.704, 62
44.6, 2.033, 36
45.9, 1.976, 18
54.7, 1.677, 10
57.8, 1.595, 24
58.8, 1.569, 12
61.3, 1.512, 10
63.1, 1.473, 16